For Ti2MnFeO6, a cell relaxed with GGA+U gives the computed powder XRD pattern in this record (Cu Kα X-rays).

Most intense lines, 2θ = 10–80°, by angle:
2θ 23.29, I = 44; 2θ 31.70, I = 78; 2θ 31.99, I = 76; 2θ 32.11, I = 73; 2θ 34.59, I = 52; 2θ 34.79, I = 100; 2θ 39.44, I = 32; 2θ 47.57, I = 29; 2θ 47.68, I = 29; 2θ 51.67, I = 38; 2θ 60.25, I = 34; 2θ 62.12, I = 48

```
Ti2MnFeO6
1.0
5.1549 0.0000 0.0000
-2.5524 4.4856 0.0000
-2.5056 -1.5208 4.7936
Ti Mn Fe O
2 1 1 6
Cartesian
0.0000 0.0000 0.0000
0.0359 2.9926 0.6022
2.6280 1.4913 2.3477
0.0450 -0.0163 3.0179
-1.7770 0.0373 3.9798
-0.6211 1.4310 1.4220
1.5730 -0.1497 1.4628
-1.5884 2.7931 3.9984
1.7183 3.1850 1.4185
1.1003 1.5907 3.9932
```